[1]
This entry pairs a crystal structure of PuAg2Te3 with its calculated powder diffractogram. Radiation: a wavelength of 1.5418 Å. Structure: a cell relaxed with PBE.

```
PuAg2Te3
1.0
10.877 -2.209 0.000
10.877 2.209 0.000
-0.528 0.000 7.897
Pu Ag Te
2 4 6
Direct
0.156 0.156 0.044 Pu
0.844 0.844 0.956 Pu
0.204 0.204 0.449 Ag
0.459 0.459 0.841 Ag
0.541 0.541 0.159 Ag
0.796 0.796 0.551 Ag
0.079 0.079 0.353 Te
0.257 0.257 0.779 Te
0.409 0.409 0.164 Te
0.591 0.591 0.836 Te
0.743 0.743 0.221 Te
0.921 0.921 0.647 Te
```

Main lines, in order of falling intensity (2θ = 10–80°):
two_theta	I/Imax
23.59	100
39.84	100
26.55	96
37.79	86
11.20	66
40.86	58
43.61	47
26.41	35
36.59	33
41.62	27

[2]
This entry pairs a crystal structure of TmPuAg2 with its calculated powder diffractogram. Radiation: a wavelength of 1.5418 Å. Structure: a cell relaxed with PBE.

```
TmPuAg2
1.0
0.000 3.641 3.641
3.641 0.000 3.641
3.641 3.641 0.000
Tm Pu Ag
1 1 2
Direct
0.000 0.000 0.000 Tm
0.500 0.500 0.500 Pu
0.250 0.250 0.250 Ag
0.750 0.750 0.750 Ag
```

Main lines, in order of falling intensity (2θ = 10–80°):
two_theta	I/Imax
34.85	100
62.48	37
50.11	18
73.58	11
24.45	9
56.52	5
43.03	3
21.13	2
78.87	2
41.11	1